Diffraction record for LiFe8O12. The X-ray powder pattern is computed, not measured: it uses a DFT-relaxed cell (GGA+U, the Materials Project) and CuKα.
Kinematic intensities with the Lorentz-polarization factor, no thermal factor.

Cell and atoms:
Lattice parameters (Å, degrees): 5.8253 5.2130 7.6348 90.00 98.36 90.00
Fractional positions:
Li1 0.0000 0.0000 0.0000
Fe1 0.1577 0.9802 0.3896
Fe2 0.2906 0.4921 0.0803
Fe3 0.3089 0.4824 0.5818
Fe4 0.4579 0.9847 0.7798
Fe5 0.5421 0.9847 0.2202
Fe6 0.6911 0.4824 0.4182
Fe7 0.7094 0.4921 0.9197
Fe8 0.8423 0.9802 0.6104
O1 0.0000 0.3521 0.0000
O2 0.0000 0.6770 0.5000
O3 0.1702 0.1318 0.6412
O4 0.2137 0.8360 0.1694
O5 0.3564 0.2972 0.3291
O6 0.3620 0.6382 0.8340
O7 0.5000 0.1864 0.0000
O8 0.5000 0.8115 0.5000
O9 0.6380 0.6382 0.1660
O10 0.6436 0.2972 0.6709
O11 0.7863 0.8360 0.8306
O12 0.8298 0.1318 0.3588

Largest 12 diffraction maxima, in order of rising 2θ, 2θ = 5–70°:
2θ = 15.4°, I = 56.2, hkl 1 0 0; 2θ = 20.7°, I = 35.0, hkl 1 0 1; 2θ = 26.3°, I = 31.5, hkl 1 0 -2; 2θ = 29.2°, I = 54.7, hkl 0 1 2; 2θ = 34.4°, I = 58.7, hkl 0 2 0; 2θ = 34.8°, I = 100.0, hkl 1 1 2; 2θ = 35.6°, I = 35.9, hkl 2 1 0; 2θ = 39.1°, I = 29.5, hkl 2 1 1; 2θ = 50.6°, I = 56.1, hkl 3 1 0; 2θ = 50.9°, I = 54.7, hkl 2 2 -2; 2θ = 51.8°, I = 50.6, hkl 1 1 -4; 2θ = 61.9°, I = 46.7, hkl 1 3 2